For Ce2InRh2, a crystal structure in the Materials Project, relaxed with PBE gives the simulated powder diffractogram in this record (CuKα).
Intensities are scaled so that the largest is 100.

Cell and atoms:
Cell lengths 7.6855, 7.6855, 3.7342 Å; angles 90.00, 90.00, 90.00 degrees
Space group P4/mbm (No. 127)
Asymmetric unit:
Ce  0.1712  0.3288  0.0000 x4
In  0.0000  0.0000  0.5000 x2
Rh  0.1354  0.6354  0.5000 x4

The 10 most intense peaks (15 to 90 degrees two-theta), sorted by position:
two_theta  I_rel
32.96  10
33.46  26
35.50  100
36.99  45
48.80  19
55.06  15
62.76  19
66.95  8
70.66  14
82.40  9